Starting from DFT lattice parameters and positions (GGA-PBE), the X-ray powder pattern of PmNdIn3 was calculated for Cu Ka.

Cell and atoms:
```
data_PmNdIn3
_chemical_formula_sum 'Pm2 Nd2 In6'
_cell_length_a 7.718
_cell_length_b 7.718
_cell_length_c 7.718
_cell_angle_alpha 130.24
_cell_angle_beta 115.27
_cell_angle_gamma 85.82
_space_group_name_H-M_alt 'P 1'
_space_group_IT_number 1
loop_
_space_group_symop_operation_xyz
'x,y,z'
loop_
_atom_site_label
_atom_site_type_symbol
_atom_site_fract_x
_atom_site_fract_y
_atom_site_fract_z
Pm1 Pm 0.000 0.000 0.000
Pm2 Pm 0.500 0.000 0.500
Nd1 Nd 0.258 0.508 0.750
Nd2 Nd 0.742 0.492 0.250
In1 In 0.185 0.000 0.685
In2 In 0.185 0.500 0.185
In3 In 0.452 0.202 0.250
In4 In 0.548 0.798 0.750
In5 In 0.815 0.000 0.315
In6 In 0.815 0.500 0.815
```

Largest 10 diffraction maxima, in order of falling intensity, 2θ = 15–90°:
| 2theta | I_rel |
| --- | --- |
| 35.08 | 100 |
| 26.76 | 75 |
| 31.78 | 65 |
| 31.66 | 57 |
| 33.49 | 36 |
| 30.62 | 36 |
| 38.70 | 28 |
| 53.63 | 23 |
| 56.47 | 21 |
| 48.15 | 19 |